For Cs2HgPbCl6, DFT lattice parameters and positions (PBE) gives the theoretical XRD peak list in this record (Cu Kα X-rays).

Peak list (8 most intense, 2θ = 10–90°, by angle)
2θ/deg	I (rel.)
16.04	15
22.77	100
32.42	46
39.98	48
46.50	33
52.38	23
62.96	26
77.24	15

Structural model:
abc: 7.8119 7.8119 7.8119
angles: 60.00 60.00 60.00
Sites, in units of the cell vectors:
Cs 0.2500 0.2500 0.2500
Cs 0.7500 0.7500 0.7500
Hg 0.0000 0.0000 0.0000
Pb 0.5000 0.5000 0.5000
Cl 0.2435 0.2435 0.7565
Cl 0.2435 0.7565 0.2435
Cl 0.2435 0.7565 0.7565
Cl 0.7565 0.2435 0.2435
Cl 0.7565 0.2435 0.7565
Cl 0.7565 0.7565 0.2435